Entry 1:
Structure and computed PXRD pattern of MgFe4O4F4 (the PBE+U geometry in the Materials Project; Cu Ka).

Structural model:
Cell: 5.262 5.736 5.853 Å, 64.25 84.88 84.04°
Space group P1 (No. 1)
One atom of each set of equivalent atoms:
Mg1 0.000 0.000 0.000
Fe1 0.047 0.263 0.273
Fe2 0.459 0.187 0.731
Fe3 0.532 0.778 0.254
Fe4 0.974 0.758 0.686
O1 0.177 0.067 0.636
O2 0.320 0.115 0.074
O3 0.711 0.899 0.872
O4 0.851 0.904 0.360
F1 0.164 0.634 0.089
F2 0.316 0.575 0.607
F3 0.678 0.387 0.403
F4 0.863 0.394 0.881

Most intense lines, 2θ = 10–90°, in order of rising 2θ:
23.49°, intensity 100; 26.39°, intensity 94; 33.55°, intensity 31; 33.87°, intensity 36; 34.02°, intensity 61; 54.33°, intensity 29

=====

Entry 2:
Structure and computed PXRD pattern of MgFe12O12F12 (the PBE+U geometry in the Materials Project; Cu Ka).

Structural model:
Cell: 3.091 9.731 14.462 Å, 90.97 90.05 90.04°
Space group P1 (No. 1)
One atom of each set of equivalent atoms:
Mg1 0.000 0.000 0.000
Fe1 0.010 0.467 0.179
Fe2 0.011 0.471 0.817
Fe3 0.013 0.956 0.187
Fe4 0.017 0.475 0.508
Fe5 0.019 0.968 0.497
Fe6 0.022 0.981 0.821
Fe7 0.505 0.264 0.978
Fe8 0.508 0.733 0.995
Fe9 0.515 0.252 0.658
Fe10 0.516 0.741 0.341
Fe11 0.518 0.229 0.367
Fe12 0.522 0.736 0.643
O1 0.006 0.348 0.927
O2 0.008 0.818 0.938
O3 0.015 0.322 0.598
O4 0.015 0.815 0.269
O5 0.018 0.127 0.408
O6 0.022 0.837 0.601
O7 0.503 0.076 0.921
O8 0.510 0.910 0.093
O9 0.511 0.387 0.763
O10 0.517 0.394 0.435
O11 0.518 0.578 0.565
O12 0.519 0.879 0.436
F1 0.006 0.169 0.070
F2 0.009 0.638 0.069
F3 0.014 0.638 0.734
F4 0.015 0.310 0.271
F5 0.016 0.634 0.397
F6 0.019 0.140 0.731
F7 0.508 0.392 0.094
F8 0.508 0.582 0.897
F9 0.512 0.578 0.241
F10 0.514 0.070 0.237
F11 0.519 0.076 0.571
F12 0.524 0.871 0.763

Most intense lines, 2θ = 10–90°, in order of rising 2θ:
25.80°, intensity 97; 26.25°, intensity 100; 34.40°, intensity 88; 34.48°, intensity 27; 51.38°, intensity 29; 51.88°, intensity 31

=====

Entry 3:
Structure and computed PXRD pattern of MgFe6O6F6 (the PBE+U geometry in the Materials Project; Cu Ka).

Structural model:
Cell: 5.299 5.366 8.788 Å, 87.18 85.30 87.46°
Space group P1 (No. 1)
One atom of each set of equivalent atoms:
Mg1 0.000 0.000 0.000
Fe1 0.111 0.536 0.844
Fe2 0.473 0.054 0.047
Fe3 0.565 0.888 0.710
Fe4 0.606 0.918 0.370
Fe5 0.913 0.395 0.546
Fe6 0.960 0.413 0.207
O1 0.186 0.309 0.033
O2 0.310 0.846 0.881
O3 0.704 0.110 0.539
O4 0.752 0.125 0.191
O5 0.812 0.615 0.710
O6 0.815 0.615 0.371
F1 0.171 0.276 0.369
F2 0.192 0.286 0.675
F3 0.349 0.825 0.231
F4 0.367 0.779 0.545
F5 0.745 0.101 0.857
F6 0.843 0.679 0.049

Most intense lines, 2θ = 10–90°, in order of rising 2θ:
18.94°, intensity 20; 23.18°, intensity 100; 24.15°, intensity 99; 33.92°, intensity 18; 34.34°, intensity 23; 40.54°, intensity 24

=====

Entry 4:
Structure and computed PXRD pattern of MgFe6O11F (the PBE+U geometry in the Materials Project; Cu Ka).

Structural model:
Cell: 8.181 6.329 8.774 Å, 90.00 90.34 90.00°
Space group Cm (No. 8)
One atom of each set of equivalent atoms:
Mg1 0.000 0.000 0.000
Fe1 0.216 0.500 0.808
Fe2 0.221 0.500 0.177
Fe3 0.300 0.000 0.327
Fe4 0.305 0.000 0.648
Fe5 0.345 0.000 0.998
Fe6 0.389 0.500 0.493
O1 0.125 0.000 0.493
O2 0.170 0.000 0.150
O3 0.303 0.314 0.988
O4 0.304 0.309 0.658
O5 0.314 0.309 0.326
O6 0.452 0.000 0.483
O7 0.482 0.000 0.821
O8 0.494 0.000 0.164
F1 0.141 0.000 0.829

Most intense lines, 2θ = 10–90°, in order of rising 2θ:
21.73°, intensity 96; 28.20°, intensity 100; 35.49°, intensity 32; 35.61°, intensity 32; 54.82°, intensity 39; 58.29°, intensity 25

=====

Entry 5:
Structure and computed PXRD pattern of MgFe6O6F6 (the PBE+U geometry in the Materials Project; Cu Ka).

Structural model:
Cell: 3.128 5.103 14.434 Å, 83.31 84.11 89.98°
Space group P1 (No. 1)
One atom of each set of equivalent atoms:
Mg1 0.000 0.000 0.000
Fe1 0.123 0.016 0.799
Fe2 0.263 0.123 0.487
Fe3 0.404 0.121 0.194
Fe4 0.518 0.507 0.971
Fe5 0.693 0.502 0.643
Fe6 0.834 0.619 0.338
O1 0.221 0.381 0.583
O2 0.471 0.160 0.062
O3 0.555 0.869 0.896
O4 0.648 0.198 0.742
O5 0.793 0.276 0.423
O6 0.884 0.944 0.237
F1 0.054 0.317 0.900
F2 0.156 0.700 0.722
F3 0.300 0.809 0.409
F4 0.376 0.451 0.248
F5 0.729 0.882 0.565
F6 0.977 0.640 0.056

Most intense lines, 2θ = 10–90°, in order of rising 2θ:
24.12°, intensity 71; 27.18°, intensity 100; 28.88°, intensity 34; 33.63°, intensity 65; 36.10°, intensity 34; 36.31°, intensity 37

=====

Entry 6:
Structure and computed PXRD pattern of MgFe4O4F4 (the PBE+U geometry in the Materials Project; Cu Ka).

Structural model:
Cell: 5.416 5.704 6.056 Å, 114.93 109.15 93.50°
Space group P1 (No. 1)
One atom of each set of equivalent atoms:
Mg1 0.000 0.000 0.000
Fe1 0.331 0.036 0.601
Fe2 0.500 0.743 0.055
Fe3 0.560 0.538 0.478
Fe4 0.915 0.488 0.026
O1 0.283 0.687 0.304
O2 0.552 0.379 0.722
O3 0.595 0.891 0.803
O4 0.739 0.581 0.277
F1 0.062 0.654 0.811
F2 0.099 0.166 0.811
F3 0.401 0.128 0.215
F4 0.990 0.065 0.333

Most intense lines, 2θ = 10–90°, in order of rising 2θ:
28.00°, intensity 94; 29.10°, intensity 55; 30.87°, intensity 100; 35.68°, intensity 90; 36.09°, intensity 58; 43.25°, intensity 53

=====

Entry 7:
Structure and computed PXRD pattern of MgFe4O4F4 (the PBE+U geometry in the Materials Project; Cu Ka).

Structural model:
Cell: 3.182 5.254 9.827 Å, 98.35 98.20 90.38°
Space group P1 (No. 1)
One atom of each set of equivalent atoms:
Mg1 0.000 0.000 0.000
Fe1 0.183 0.980 0.295
Fe2 0.378 0.104 0.719
Fe3 0.550 0.503 0.054
Fe4 0.778 0.605 0.511
O1 0.235 0.736 0.410
O2 0.468 0.156 0.916
O3 0.622 0.870 0.160
O4 0.853 0.925 0.668
F1 0.000 0.637 0.933
F2 0.097 0.309 0.152
F3 0.334 0.414 0.633
F4 0.721 0.214 0.389

Most intense lines, 2θ = 10–90°, in order of rising 2θ:
23.27°, intensity 69; 27.06°, intensity 100; 30.52°, intensity 36; 32.85°, intensity 41; 33.11°, intensity 43; 36.30°, intensity 36

=====

Entry 8:
Structure and computed PXRD pattern of MgFe4O4F4 (the PBE+U geometry in the Materials Project; Cu Ka).

Structural model:
Cell: 5.218 3.061 9.970 Å, 90.00 96.92 90.00°
Space group Pm (No. 6)
One atom of each set of equivalent atoms:
Mg1 0.000 0.000 0.000
Fe1 0.396 0.000 0.502
Fe2 0.521 0.000 0.978
Fe3 0.874 0.500 0.721
Fe4 0.883 0.500 0.286
O1 0.083 0.000 0.369
O2 0.700 0.000 0.618
O3 0.759 0.500 0.912
O4 0.776 0.000 0.155
F1 0.187 0.000 0.837
F2 0.233 0.500 0.596
F3 0.252 0.500 0.065
F4 0.556 0.500 0.382

Most intense lines, 2θ = 10–90°, in order of rising 2θ:
23.32°, intensity 100; 26.36°, intensity 83; 34.01°, intensity 55; 34.45°, intensity 82; 34.66°, intensity 26; 51.32°, intensity 34

=====

Entry 9:
Structure and computed PXRD pattern of MgFe4O4F4 (the PBE+U geometry in the Materials Project; Cu Ka).

Structural model:
Cell: 3.064 5.266 10.683 Å, 97.68 90.51 96.68°
Space group P1 (No. 1)
One atom of each set of equivalent atoms:
Mg1 0.000 0.000 0.000
Fe1 0.042 0.389 0.524
Fe2 0.483 0.053 0.257
Fe3 0.503 0.006 0.719
Fe4 0.819 0.537 0.122
O1 0.023 0.225 0.178
O2 0.045 0.202 0.657
O3 0.419 0.791 0.087
O4 0.520 0.264 0.417
F1 0.553 0.228 0.956
F2 0.557 0.662 0.585
F3 0.934 0.811 0.304
F4 0.957 0.840 0.825

Most intense lines, 2θ = 10–90°, in order of rising 2θ:
16.75°, intensity 71; 22.33°, intensity 100; 25.64°, intensity 47; 32.59°, intensity 40; 35.96°, intensity 40; 38.53°, intensity 68

=====

Entry 10:
Structure and computed PXRD pattern of MgFe10O9F11 (the PBE+U geometry in the Materials Project; Cu Ka).

Structural model:
Cell: 4.904 4.908 15.301 Å, 89.95 89.77 84.40°
Space group P1 (No. 1)
One atom of each set of equivalent atoms:
Mg1 0.000 0.000 0.000
Fe1 0.006 0.498 0.707
Fe2 0.006 0.501 0.120
Fe3 0.467 0.953 0.410
Fe4 0.500 0.000 0.810
Fe5 0.500 0.006 0.008
Fe6 0.513 0.001 0.202
Fe7 0.528 0.012 0.617
Fe8 0.979 0.537 0.315
Fe9 0.984 0.547 0.501
Fe10 0.999 0.502 0.896
O1 0.189 0.708 0.413
O2 0.254 0.157 0.908
O3 0.254 0.169 0.110
O4 0.297 0.194 0.707
O5 0.674 0.837 0.306
O6 0.677 0.825 0.513
O7 0.716 0.809 0.711
O8 0.745 0.847 0.908
O9 0.755 0.839 0.107
F1 0.184 0.685 0.607
F2 0.224 0.653 0.014
F3 0.229 0.684 0.206
F4 0.231 0.681 0.799
F5 0.276 0.203 0.307
F6 0.285 0.210 0.509
F7 0.765 0.333 0.207
F8 0.774 0.319 0.798
F9 0.784 0.351 0.016
F10 0.791 0.321 0.417
F11 0.806 0.320 0.607

Most intense lines, 2θ = 10–90°, in order of rising 2θ:
24.49°, intensity 100; 27.06°, intensity 89; 34.57°, intensity 73; 49.88°, intensity 35; 50.05°, intensity 35; 52.78°, intensity 36

=====

Entry 11:
Structure and computed PXRD pattern of MgFe6O6F6 (the PBE+U geometry in the Materials Project; Cu Ka).

Structural model:
Cell: 3.041 5.229 14.584 Å, 81.31 89.96 89.97°
Space group P1 (No. 1)
One atom of each set of equivalent atoms:
Mg1 0.000 0.000 0.000
Fe1 0.493 0.929 0.505
Fe2 0.494 0.059 0.198
Fe3 0.496 0.900 0.803
Fe4 0.980 0.498 0.006
Fe5 0.994 0.419 0.654
Fe6 0.994 0.552 0.350
O1 0.494 0.677 0.409
O2 0.993 0.764 0.567
O3 0.994 0.846 0.246
O4 0.995 0.205 0.108
O5 0.996 0.101 0.752
O6 0.996 0.777 0.902
F1 0.493 0.355 0.273
F2 0.494 0.236 0.578
F3 0.494 0.599 0.739
F4 0.495 0.765 0.062
F5 0.497 0.236 0.948
F6 0.993 0.168 0.425

Most intense lines, 2θ = 10–90°, in order of rising 2θ:
23.29°, intensity 74; 27.18°, intensity 100; 27.96°, intensity 40; 34.22°, intensity 52; 34.91°, intensity 77; 52.18°, intensity 37

=====

Repeat the seventh record exactly.
Structure and computed PXRD pattern of MgFe4O4F4 (the PBE+U geometry in the Materials Project; Cu Ka).

Structural model:
Cell: 3.182 5.254 9.827 Å, 98.35 98.20 90.38°
Space group P1 (No. 1)
One atom of each set of equivalent atoms:
Mg1 0.000 0.000 0.000
Fe1 0.183 0.980 0.295
Fe2 0.378 0.104 0.719
Fe3 0.550 0.503 0.054
Fe4 0.778 0.605 0.511
O1 0.235 0.736 0.410
O2 0.468 0.156 0.916
O3 0.622 0.870 0.160
O4 0.853 0.925 0.668
F1 0.000 0.637 0.933
F2 0.097 0.309 0.152
F3 0.334 0.414 0.633
F4 0.721 0.214 0.389

Most intense lines, 2θ = 10–90°, in order of rising 2θ:
23.27°, intensity 69; 27.06°, intensity 100; 30.52°, intensity 36; 32.85°, intensity 41; 33.11°, intensity 43; 36.30°, intensity 36